# 1
This entry pairs a crystal structure of KAl2In with its simulated powder diffractogram. Radiation: Cu Kα. Structure: a crystal structure in Alexandria, relaxed with PBE.
Lines closer than 0.1° are merged.

```
data_KAl2In
_chemical_formula_sum 'K1 Al2 In1'
_cell_length_a 3.1971
_cell_length_b 3.9859
_cell_length_c 8.1986
_cell_angle_alpha 90.00
_cell_angle_beta 90.00
_cell_angle_gamma 90.00
_symmetry_space_group_name_H-M 'P m m 2'
_symmetry_Int_Tables_number 25
_symmetry_space_group_name_Hall 'P 2 -2'
loop_
_atom_site_label
_atom_site_type_symbol
_atom_site_fract_x
_atom_site_fract_y
_atom_site_fract_z
K1 K 0.0000 0.0000 0.0000
Al1 Al 0.0000 0.0000 0.4556
Al2 Al 0.5000 0.5000 0.3128
In1 In 0.5000 0.5000 0.6753
```

The 6 most intense peaks (10° ≤ 2θ ≤ 80°), low angle first:
2θ = 10.79°, I 100, (0 0 1); 2θ = 24.84°, I 58, (0 1 1); 2θ = 30.00°, I 36, (1 0 1); 2θ = 31.30°, I 73, (0 1 2); 2θ = 35.61°, I 51, (1 0 2); 2θ = 36.01°, I 71, (1 1 0)

# 2
This entry pairs a crystal structure of KAl4Tc with its simulated powder diffractogram. Radiation: Cu Kα. Structure: a crystal structure in Alexandria, relaxed with PBE.
Lines closer than 0.1° are merged.

```
data_KAl4Tc
_chemical_formula_sum 'K4 Al16 Tc4'
_cell_length_a 7.5584
_cell_length_b 7.5584
_cell_length_c 7.5584
_cell_angle_alpha 90.00
_cell_angle_beta 90.00
_cell_angle_gamma 90.00
_symmetry_space_group_name_H-M 'F -4 3 m'
_symmetry_Int_Tables_number 216
_symmetry_space_group_name_Hall 'F -4 2 3'
loop_
_atom_site_label
_atom_site_type_symbol
_atom_site_fract_x
_atom_site_fract_y
_atom_site_fract_z
K1 K 0.0000 0.0000 0.0000
Al1 Al 0.1243 0.1243 0.3757
Tc1 Tc 0.2500 0.2500 0.7500
```

The 6 most intense peaks (10° ≤ 2θ ≤ 80°), low angle first:
2θ = 20.35°, I 29, (1 1 1); 2θ = 33.53°, I 63, (2 2 0); 2θ = 39.54°, I 100, (3 1 1); 2θ = 59.96°, I 22, (4 2 2); 2θ = 64.01°, I 31, (3 3 3); 2θ = 70.48°, I 21, (4 4 0)

# 3
This entry pairs a crystal structure of Ac2Tl3Au2 with its simulated powder diffractogram. Radiation: Cu Kα. Structure: a crystal structure in Alexandria, relaxed with PBE.
Lines closer than 0.1° are merged.

```
data_Ac2Tl3Au2
_chemical_formula_sum 'Ac4 Tl6 Au4'
_cell_length_a 4.7556
_cell_length_b 22.1786
_cell_length_c 4.0065
_cell_angle_alpha 90.00
_cell_angle_beta 90.00
_cell_angle_gamma 90.00
_symmetry_space_group_name_H-M 'C m m m'
_symmetry_Int_Tables_number 65
_symmetry_space_group_name_Hall '-C 2 2'
loop_
_atom_site_label
_atom_site_type_symbol
_atom_site_fract_x
_atom_site_fract_y
_atom_site_fract_z
Ac1 Ac 0.0000 0.1663 0.0000
Tl1 Tl 0.0000 0.0000 0.0000
Tl2 Tl 0.0000 0.4275 0.5000
Au1 Au 0.0000 0.2877 0.5000
```

The 6 most intense peaks (10° ≤ 2θ ≤ 80°), low angle first:
2θ = 29.43°, I 100, (1 1 1); 2θ = 32.97°, I 56, (0 6 1); 2θ = 34.00°, I 67, (1 7 0); 2θ = 37.84°, I 35, (2 0 0); 2θ = 51.04°, I 33, (2 6 1); 2θ = 57.80°, I 30, (1 7 2)

# 4
This entry pairs a crystal structure of AcAl2Cu4 with its simulated powder diffractogram. Radiation: Cu Kα. Structure: a crystal structure in Alexandria, relaxed with PBE.
Lines closer than 0.1° are merged.

```
data_AcAl2Cu4
_chemical_formula_sum 'Ac4 Al8 Cu16'
_cell_length_a 7.8985
_cell_length_b 7.8985
_cell_length_c 7.6980
_cell_angle_alpha 90.00
_cell_angle_beta 90.00
_cell_angle_gamma 90.00
_symmetry_space_group_name_H-M 'I 4/m c m'
_symmetry_Int_Tables_number 140
_symmetry_space_group_name_Hall '-I 4 2c'
loop_
_atom_site_label
_atom_site_type_symbol
_atom_site_fract_x
_atom_site_fract_y
_atom_site_fract_z
Ac1 Ac 0.0000 0.0000 0.2500
Al1 Al 0.1576 0.3424 0.0000
Cu1 Cu 0.1374 0.3626 0.3407
```

The 6 most intense peaks (10° ≤ 2θ ≤ 80°), low angle first:
2θ = 23.11°, I 37, (0 0 2); 2θ = 28.16°, I 41, (1 1 2); 2θ = 32.48°, I 40, (2 0 2); 2θ = 35.96°, I 100, (3 1 0); 2θ = 43.18°, I 49, (3 1 2); 2θ = 43.60°, I 43, (2 1 3)

What did the third record say?
This entry pairs a crystal structure of Ac2Tl3Au2 with its simulated powder diffractogram. Radiation: Cu Kα. Structure: a crystal structure in Alexandria, relaxed with PBE.
Lines closer than 0.1° are merged.

```
data_Ac2Tl3Au2
_chemical_formula_sum 'Ac4 Tl6 Au4'
_cell_length_a 4.7556
_cell_length_b 22.1786
_cell_length_c 4.0065
_cell_angle_alpha 90.00
_cell_angle_beta 90.00
_cell_angle_gamma 90.00
_symmetry_space_group_name_H-M 'C m m m'
_symmetry_Int_Tables_number 65
_symmetry_space_group_name_Hall '-C 2 2'
loop_
_atom_site_label
_atom_site_type_symbol
_atom_site_fract_x
_atom_site_fract_y
_atom_site_fract_z
Ac1 Ac 0.0000 0.1663 0.0000
Tl1 Tl 0.0000 0.0000 0.0000
Tl2 Tl 0.0000 0.4275 0.5000
Au1 Au 0.0000 0.2877 0.5000
```

The 6 most intense peaks (10° ≤ 2θ ≤ 80°), low angle first:
2θ = 29.43°, I 100, (1 1 1); 2θ = 32.97°, I 56, (0 6 1); 2θ = 34.00°, I 67, (1 7 0); 2θ = 37.84°, I 35, (2 0 0); 2θ = 51.04°, I 33, (2 6 1); 2θ = 57.80°, I 30, (1 7 2)